No. 1
This entry pairs a crystal structure of MnS2 with its computed XRD peak list. Radiation: Cu Kα. Structure: a cell relaxed with PBE.

Structural model:
```
MnS2
1.0
4.6816 0.0000 0.0000
0.0000 5.5529 0.0000
0.0000 0.0000 3.2580
Mn S
2 4
Direct
0.0000 0.0000 0.0000
0.5000 0.5000 0.5000
0.1981 0.3684 0.0000
0.3019 0.8684 0.5000
0.6981 0.1316 0.5000
0.8019 0.6316 0.0000
```

Peak list (10 most intense, 10° ≤ 2θ ≤ 90°, sorted by position)
Position (°2θ), Rel. int.
24.88, 63.5
32.24, 23.9
33.51, 100.0
37.32, 50.9
37.67, 45.3
47.19, 35.4
50.76, 77.6
53.21, 21.2
56.49, 24.1
57.24, 36.3



No. 2
This entry pairs a crystal structure of NaTaInP3O12 with its computed XRD peak list. Radiation: Cu Kα. Structure: a cell relaxed with PBE.

Structural model:
```
NaTaInP3O12
1.0
4.4045 2.5429 7.6691
-4.4045 2.5429 7.6691
0.0000 -5.0858 7.6691
Na Ta In P O
2 2 2 6 24
Direct
0.0000 0.0000 0.0000
0.5000 0.5000 0.5000
0.1499 0.1499 0.1499
0.6499 0.6499 0.6499
0.3561 0.3561 0.3561
0.8561 0.8561 0.8561
0.0449 0.7552 0.4643
0.2552 0.5449 0.9643
0.4643 0.0449 0.7552
0.5449 0.9643 0.2552
0.7552 0.4643 0.0449
0.9643 0.2552 0.5449
0.0005 0.2296 0.3693
0.0225 0.7820 0.6234
0.0621 0.9359 0.2869
0.0944 0.7219 0.9276
0.1234 0.2820 0.5225
0.2219 0.5944 0.4276
0.2296 0.3693 0.0005
0.2820 0.5225 0.1234
0.2869 0.0621 0.9359
0.3693 0.0005 0.2296
0.4276 0.2219 0.5944
0.4359 0.5621 0.7869
0.5005 0.8693 0.7296
0.5225 0.1234 0.2820
0.5621 0.7869 0.4359
0.5944 0.4276 0.2219
0.6234 0.0225 0.7820
0.7219 0.9276 0.0944
0.7296 0.5005 0.8693
0.7820 0.6234 0.0225
0.7869 0.4359 0.5621
0.8693 0.7296 0.5005
0.9276 0.0944 0.7219
0.9359 0.2869 0.0621
```

Peak list (10 most intense, 10° ≤ 2θ ≤ 90°, sorted by position)
Position (°2θ), Rel. int.
13.93, 36.1
19.33, 79.8
20.16, 100.0
23.28, 37.6
28.07, 46.2
30.92, 70.5
34.80, 25.9
35.30, 34.8
47.62, 24.6
55.17, 22.6